For HoCu2F6, a structure optimized by DFT (PBE) gives the theoretical X-ray diffraction stick pattern in this record (Cu Kα (λ = 1.5418 Å)).
Peak positions follow from Bragg's law for the DFT cell and can differ from measured ones.

Largest 10 diffraction maxima, sorted by position, 10 to 90 degrees two-theta:
two_theta	d [Å]	I/Imax
16.4	5.414	56.7
24.7	3.611	100.0
24.8	3.592	82.2
32.0	2.795	42.6
33.3	2.689	53.0
34.8	2.580	24.6
45.9	1.977	29.7
47.3	1.921	22.9
48.1	1.893	21.8
50.1	1.822	33.8

Crystal structure
a = 5.877 Å, b = 5.877 Å, c = 7.199 Å
α = 124.37°, β = 124.37°, γ = 39.32°
Element x y z (fractional)
Ho  0.000  0.000  0.000
Cu  0.181  0.181  0.639
Cu  0.819  0.819  0.361
F  0.002  0.002  0.308
F  0.256  0.256  0.323
F  0.376  0.376  0.962
F  0.624  0.624  0.038
F  0.744  0.744  0.677
F  0.998  0.998  0.692